Rb4PuTe4: theoretical PXRD pattern (Cu Kα X-rays), based on a DFT-relaxed cell (GGA-PBE, Alexandria).

Cell and atoms:
```
Rb4PuTe4
1.0
-4.359 4.359 7.454
4.359 -4.359 7.454
4.359 4.359 -7.454
Rb Pu Te
4 1 4
Cartesian
4.359 0.000 0.000 Rb
0.000 0.000 3.006 Rb
0.000 4.359 0.000 Rb
0.000 0.000 11.902 Rb
0.000 0.000 7.454 Pu
1.724 -1.724 5.761 Te
2.635 2.635 1.693 Te
-1.724 1.724 5.761 Te
1.724 1.724 9.147 Te
```

Largest 8 diffraction maxima, in order of rising 2θ, 10 to 90 degrees two-theta:
11.76 deg, I = 100
11.87 deg, I = 30
14.37 deg, I = 29
18.68 deg, I = 82
23.61 deg, I = 29
28.97 deg, I = 55
29.11 deg, I = 69
31.59 deg, I = 79


Pu3Re: theoretical PXRD pattern (Cu Kα X-rays), based on a DFT-relaxed cell (GGA-PBE, Alexandria).

Cell and atoms:
```
Pu3Re
1.0
2.772 0.000 0.000
0.000 9.609 0.000
0.000 0.000 5.895
Pu Re
6 2
Cartesian
0.000 0.000 0.000 Pu
0.000 2.217 1.167 Pu
0.000 7.392 1.167 Pu
1.386 2.588 4.115 Pu
1.386 4.805 2.947 Pu
1.386 7.021 4.115 Pu
0.000 4.805 0.087 Re
1.386 0.000 3.034 Re
```

Largest 8 diffraction maxima, in order of rising 2θ, 10 to 90 degrees two-theta:
35.77 deg, I = 100
37.44 deg, I = 26
40.57 deg, I = 29
52.77 deg, I = 27
60.93 deg, I = 26
66.40 deg, I = 12
78.89 deg, I = 12
85.76 deg, I = 8


Pu6ReRu5: theoretical PXRD pattern (Cu Kα X-rays), based on a DFT-relaxed cell (GGA-PBE, Alexandria).

Cell and atoms:
```
Pu6ReRu5
1.0
4.722 0.000 0.000
-0.001 6.813 0.000
-2.347 -3.384 7.182
Pu Re Ru
6 1 5
Cartesian
0.000 1.728 0.056 Pu
0.012 1.710 4.770 Pu
0.011 -1.680 4.801 Pu
2.362 5.109 2.382 Pu
2.362 1.720 2.412 Pu
2.374 1.702 7.126 Pu
2.361 0.000 0.000 Re
0.000 -0.021 2.336 Ru
-0.001 3.472 2.412 Ru
2.361 3.406 0.000 Ru
2.375 -0.043 4.770 Ru
2.373 3.450 4.846 Ru
```

Largest 8 diffraction maxima, in order of rising 2θ, 10 to 90 degrees two-theta:
26.51 deg, I = 13
37.57 deg, I = 100
37.65 deg, I = 25
38.11 deg, I = 24
53.82 deg, I = 9
67.65 deg, I = 9
67.83 deg, I = 18
68.51 deg, I = 13


Q: What is the formula in the first record?
A: Rb4PuTe4


Q: Which formula does entry 3 have?
A: Pu6ReRu5